Starting from a DFT-relaxed cell (GGA-PBE, Alexandria), the powder X-ray diffraction pattern of K3RbHgO was simulated for Cu Kα X-rays.

Atomic structure:
Cell: 8.3716 19.2586 7.1528 Å, 90.00 125.08 90.00°
Space group C2/c (No. 15)
Inequivalent atoms, fractional coordinates:
K (0.0000, 0.1815, 0.2500) x4
K (0.1669, 0.0565, 0.0396) x8
Rb (0.0000, 0.3911, 0.2500) x4
Hg (0.0000, 0.2573, 0.7500) x4
O (0.0000, 0.0500, 0.2500) x4

Most intense lines, 10° ≤ 2θ ≤ 80°, most intense first:
| two_theta | I/Imax |
| --- | --- |
| 19.05 | 100 |
| 28.71 | 91 |
| 26.62 | 76 |
| 26.34 | 57 |
| 13.87 | 56 |
| 26.01 | 44 |

=====

Starting from a DFT-relaxed cell (GGA-PBE, Alexandria), the powder X-ray diffraction pattern of MgIn3Pd3 was simulated for Cu Kα X-rays.

Atomic structure:
Cell: 9.1924 9.1924 5.6075 Å, 90.00 90.00 120.00°
Space group R3m (No. 160, hexagonal axes)
Inequivalent atoms, fractional coordinates:
Mg (0.0000, 0.0000, 0.0000) x3
In (0.9999, 0.4999, 0.0010) x9
Pd (0.0000, 0.5000, 0.5012) x9

Most intense lines, 10° ≤ 2θ ≤ 80°, most intense first:
| two_theta | I/Imax |
| --- | --- |
| 39.20 | 100 |
| 39.31 | 99 |
| 19.31 | 50 |
| 71.09 | 50 |
| 56.72 | 33 |
| 71.33 | 16 |

=====

Starting from a DFT-relaxed cell (GGA-PBE, Alexandria), the powder X-ray diffraction pattern of LiPmSBr was simulated for Cu Kα X-rays.

Atomic structure:
Cell: 3.9884 3.9884 43.0074 Å, 90.00 90.00 120.00°
Space group R-3m (No. 166, hexagonal axes)
Inequivalent atoms, fractional coordinates:
Li (0.0000, 0.0000, 0.1870) x6
Pm (0.0000, 0.0000, 0.4214) x6
S (0.0000, 0.0000, 0.1285) x6
Br (0.0000, 0.0000, 0.2891) x6

Most intense lines, 10° ≤ 2θ ≤ 80°, most intense first:
| two_theta | I/Imax |
| --- | --- |
| 29.67 | 100 |
| 12.35 | 88 |
| 45.48 | 36 |
| 25.88 | 35 |
| 39.25 | 32 |
| 37.65 | 27 |

=====

Question: What is the formula in the second record?
Answer: MgIn3Pd3